LuZrGe4: computed powder diffractogram (a wavelength of 1.5418 Å), based on the PBE geometry in OQMD.
Peak positions follow from Bragg's law for the DFT cell and can differ from measured ones.

Atomic structure:
a = 3.829 Å, b = 3.900 Å, c = 15.434 Å
α = 90.00°, β = 90.00°, γ = 90.00°
Space group Amm2 (No. 38)
Unique sites:
Lu (0.000, 0.000, 0.000) [2 per cell]
Zr (0.500, 0.000, 0.790) [2 per cell]
Ge (0.000, 0.000, 0.336) [2 per cell]
Ge (0.000, 0.000, 0.647) [2 per cell]
Ge (0.500, 0.000, 0.150) [2 per cell]
Ge (0.500, 0.000, 0.449) [2 per cell]

Main lines, in order of falling intensity (2θ from 10° to 90°):
2θ 37.3, I 100, hkl 1 1 3; 2θ 34.9, I 19, hkl 0 0 6; 2θ 46.6, I 15, hkl 0 2 0; 2θ 47.5, I 14, hkl 2 0 0; 2θ 28.7, I 13, hkl 0 1 3; 2θ 42.3, I 13, hkl 1 0 6; 2θ 26.0, I 12, hkl 1 0 2; 2θ 80.2, I 12, hkl 1 3 3; 2θ 37.1, I 10, hkl 0 1 5; 2θ 81.5, I 10, hkl 3 1 3